Entry 1:
Theoretical powder diffraction line list
Compound: TaCo2S4
Radiation: Cu Kα X-rays
Structure: a DFT-relaxed cell (GGA-PBE, Alexandria)

The 8 most intense peaks (10 to 80 degrees two-theta), by angle:
hkl 0 0 2, 2θ 15.7, intensity 88.5
hkl 1 0 1, 2θ 19.9, intensity 34.6
hkl 1 1 0, 2θ 25.9, intensity 100.0
hkl 1 0 3, 2θ 30.1, intensity 43.4
hkl 2 0 0, 2θ 36.9, intensity 80.2
hkl 2 0 2, 2θ 40.4, intensity 33.5
hkl 1 0 5, 2θ 44.3, intensity 66.6
hkl 2 1 5, 2θ 59.0, intensity 55.2

Structural model:
a = 4.868 Å, b = 4.868 Å, c = 11.258 Å
α = 90.00°, β = 90.00°, γ = 90.00°
Space group I4/mmm (No. 139)
Inequivalent atoms, fractional coordinates:
Ta: 0.000 0.000 0.000 (multiplicity 2)
Co: 0.000 0.000 0.400 (multiplicity 4)
S: 0.000 0.000 0.211 (multiplicity 4)
S: 0.000 0.500 0.000 (multiplicity 4)



Entry 2:
Theoretical powder diffraction line list
Compound: Th6Co3TeS2
Radiation: Cu Kα X-rays
Structure: a DFT-relaxed cell (GGA-PBE, Alexandria)

The 8 most intense peaks (10 to 80 degrees two-theta), by angle:
hkl 4 0 -2, 2θ 24.5, intensity 17.7
hkl 3 1 0, 2θ 26.7, intensity 40.4
hkl 2 0 2, 2θ 27.1, intensity 20.9
hkl 1 1 -2, 2θ 30.1, intensity 100.0
hkl 6 0 0, 2θ 31.2, intensity 40.2
hkl 7 1 -2, 2θ 42.3, intensity 26.3
hkl 0 2 0, 2θ 44.2, intensity 18.9
hkl 5 1 2, 2θ 45.5, intensity 33.1

Structural model:
a = 18.243 Å, b = 4.098 Å, c = 8.664 Å
α = 90.00°, β = 109.54°, γ = 90.00°
Space group C2/m (No. 12)
Inequivalent atoms, fractional coordinates:
Th: 0.013 0.000 0.223 (multiplicity 4)
Th: 0.159 0.500 0.090 (multiplicity 4)
Th: 0.183 0.500 0.572 (multiplicity 4)
Co: 0.000 0.500 0.000 (multiplicity 2)
Co: 0.168 0.000 0.327 (multiplicity 4)
Te: 0.000 0.500 0.500 (multiplicity 2)
S: 0.168 0.000 0.833 (multiplicity 4)



Question: Number 1 is which compound?
Answer: TaCo2S4